Structure and simulated powder XRD pattern of HgAuF (a GGA-PBE-relaxed structure; CuKα).

Peak list (6 most intense, 2θ = 15–90°, most intense first)
- 38.0°, 2.366 Å, I 1000, (1 3 1)
- 33.5°, 2.674 Å, I 870, (1 3 0)
- 32.9°, 2.726 Å, I 831, (1 1 1)
- 44.2°, 2.048 Å, I 606, (0 6 1)
- 32.0°, 2.799 Å, I 515, (0 4 1)
- 22.0°, 4.044 Å, I 501, (0 2 1)

Crystal structure
```
data_HgAuF
_cell_length_a 3.3326
_cell_length_b 13.4368
_cell_length_c 5.0642
_cell_angle_alpha 90.00
_cell_angle_beta 90.00
_cell_angle_gamma 90.00
_symmetry_space_group_name_H-M 'C m c 21'
_symmetry_Int_Tables_number 36
loop_
_symmetry_equiv_pos_as_xyz
'x,y,z'
'-x,-y,z+1/2'
'-x,y,z'
'x,-y,z+1/2'
'x+1/2,y+1/2,z'
'-x+1/2,-y+1/2,z+1/2'
'-x+1/2,y+1/2,z'
'x+1/2,-y+1/2,z+1/2'
loop_
_atom_site_label
_atom_site_fract_x
_atom_site_fract_y
_atom_site_fract_z
Hg1 0.0000 0.1359 0.0000
Au1 0.0000 0.4596 0.8806
F1 0.0000 0.3026 0.1638
```